This entry pairs a crystal structure of Hf3Zr8Pa with its theoretical X-ray powder pattern. Radiation: CuKα. Structure: a structure optimized by DFT (GGA-PBE).
Neutral-atom scattering factors, no anomalous dispersion.

```
data_Hf3Zr8Pa
_cell_length_a 7.7420
_cell_length_b 7.7420
_cell_length_c 10.4336
_cell_angle_alpha 90.00
_cell_angle_beta 90.00
_cell_angle_gamma 90.00
_space_group_name_H-M_alt 'I -4 2 m'
_space_group_IT_number 121
_space_group_name_Hall 'I -4 2'
loop_
_atom_site_label
_atom_site_type_symbol
_atom_site_fract_x
_atom_site_fract_y
_atom_site_fract_z
_atom_site_occupancy
Hf1 Hf 0.0000 0.0000 0.0000 1
Hf2 Hf 0.0000 0.5000 0.2500 1
Zr1 Zr 0.1385 0.1385 0.2648 1
Zr2 Zr 0.2399 0.2399 0.5320 1
Pa1 Pa 0.0000 0.0000 0.5000 1
```

Peak list (10 most intense, 10 to 80 degrees two-theta, most intense first)
- hkl 3 1 2, 40.7°, I 100
- hkl 1 1 2, 23.6°, I 82
- hkl 2 2 0, 32.7°, I 62
- hkl 0 0 4, 34.4°, I 39
- hkl 2 2 4, 48.2°, I 35
- hkl 3 1 6, 65.9°, I 27
- hkl 2 1 1, 27.1°, I 24
- hkl 5 1 2, 63.9°, I 21
- hkl 4 0 2, 50.3°, I 15
- hkl 2 1 3, 36.6°, I 15



This entry pairs a crystal structure of Hf3Zr2Pa2 with its theoretical X-ray powder pattern. Radiation: CuKα. Structure: a structure optimized by DFT (GGA-PBE).
Neutral-atom scattering factors, no anomalous dispersion.

```
data_Hf3Zr2Pa2
_cell_length_a 3.1344
_cell_length_b 6.1261
_cell_length_c 9.1347
_cell_angle_alpha 87.79
_cell_angle_beta 89.99
_cell_angle_gamma 75.20
_space_group_name_H-M_alt 'P -1'
_space_group_IT_number 2
loop_
_space_group_symop_operation_xyz
'x,y,z'
'-x,-y,-z'
loop_
_atom_site_label
_atom_site_type_symbol
_atom_site_fract_x
_atom_site_fract_y
_atom_site_fract_z
_atom_site_occupancy
Hf1 Hf 0.0000 0.0000 0.0000 1
Hf2 Hf 0.3313 0.3376 0.6015 1
Zr1 Zr 0.0602 0.8814 0.6579 1
Pa1 Pa 0.2706 0.4588 0.1318 1
```

Peak list (10 most intense, 10 to 80 degrees two-theta, most intense first)
- hkl 1 0 -2, 35.4°, I 100
- hkl 1 2 0, 36.6°, I 74
- hkl 1 0 2, 35.7°, I 72
- hkl 0 1 3, 32.5°, I 52
- hkl 0 1 0, 15.0°, I 48
- hkl 0 2 -1, 32.2°, I 47
- hkl 0 2 2, 35.5°, I 41
- hkl 0 1 -4, 43.1°, I 32
- hkl 1 2 -2, 42.3°, I 32
- hkl 1 4 -1, 63.7°, I 30



This entry pairs a crystal structure of HfZr2Pa2 with its theoretical X-ray powder pattern. Radiation: CuKα. Structure: a structure optimized by DFT (GGA-PBE).
Neutral-atom scattering factors, no anomalous dispersion.

```
data_HfZr2Pa2
_cell_length_a 3.0459
_cell_length_b 3.0459
_cell_length_c 26.5887
_cell_angle_alpha 90.00
_cell_angle_beta 90.00
_cell_angle_gamma 90.00
_space_group_name_H-M_alt 'I 4 m m'
_space_group_IT_number 107
_space_group_name_Hall 'I 4 -2'
loop_
_atom_site_label
_atom_site_type_symbol
_atom_site_fract_x
_atom_site_fract_y
_atom_site_fract_z
_atom_site_occupancy
Hf1 Hf 0.0000 0.0000 0.0000 1
Zr1 Zr 0.0000 0.0000 0.3008 1
Zr2 Zr 0.0000 0.0000 0.8880 1
Pa1 Pa 0.0000 0.0000 0.1069 1
Pa2 Pa 0.0000 0.0000 0.7021 1
```

Peak list (10 most intense, 10 to 80 degrees two-theta, most intense first)
- hkl 1 0 5, 33.9°, I 100
- hkl 1 0 7, 37.9°, I 92
- hkl 1 1 0, 41.9°, I 91
- hkl 1 0 1, 29.5°, I 77
- hkl 1 0 3, 31.0°, I 77
- hkl 1 1 10, 54.9°, I 75
- hkl 0 0 10, 33.7°, I 74
- hkl 1 0 9, 42.6°, I 37
- hkl 2 0 10, 71.4°, I 34
- hkl 2 0 0, 60.8°, I 31



This entry pairs a crystal structure of Hf13Pb3 with its theoretical X-ray powder pattern. Radiation: CuKα. Structure: a structure optimized by DFT (GGA-PBE).
Neutral-atom scattering factors, no anomalous dispersion.

```
data_Hf13Pb3
_cell_length_a 8.5200
_cell_length_b 9.0518
_cell_length_c 9.4208
_cell_angle_alpha 90.00
_cell_angle_beta 90.00
_cell_angle_gamma 90.00
_space_group_name_H-M_alt 'A m m 2'
_space_group_IT_number 38
loop_
_space_group_symop_operation_xyz
'x,y,z'
'-x,-y,z'
'-x,y,z'
'x,-y,z'
'x,y+1/2,z+1/2'
'-x,-y+1/2,z+1/2'
'-x,y+1/2,z+1/2'
'x,-y+1/2,z+1/2'
loop_
_atom_site_label
_atom_site_type_symbol
_atom_site_fract_x
_atom_site_fract_y
_atom_site_fract_z
_atom_site_occupancy
Hf1 Hf 0.0000 0.0000 0.0000 1
Hf2 Hf 0.0000 0.0000 0.5286 1
Hf3 Hf 0.0000 0.2457 0.7641 1
Hf4 Hf 0.2493 0.0000 0.7570 1
Hf5 Hf 0.2510 0.2457 0.0144 1
Hf6 Hf 0.5000 0.0000 0.5175 1
Hf7 Hf 0.5000 0.2456 0.2624 1
Pb1 Pb 0.2421 0.0000 0.2749 1
Pb2 Pb 0.5000 0.0000 0.9937 1
```

Peak list (10 most intense, 10 to 80 degrees two-theta, most intense first)
- hkl 2 2 2, 34.6°, I 100
- hkl 0 0 4, 38.2°, I 19
- hkl 0 4 0, 39.8°, I 17
- hkl 4 0 0, 42.4°, I 14
- hkl 2 2 6, 66.8°, I 14
- hkl 2 6 2, 69.0°, I 14
- hkl 0 4 4, 56.4°, I 12
- hkl 6 2 2, 72.6°, I 12
- hkl 4 4 4, 73.0°, I 11
- hkl 4 0 4, 58.4°, I 11



This entry pairs a crystal structure of Hf8Pb with its theoretical X-ray powder pattern. Radiation: CuKα. Structure: a structure optimized by DFT (GGA-PBE).
Neutral-atom scattering factors, no anomalous dispersion.

```
data_Hf8Pb
_cell_length_a 9.6979
_cell_length_b 9.6979
_cell_length_c 4.3162
_cell_angle_alpha 90.00
_cell_angle_beta 90.00
_cell_angle_gamma 90.00
_space_group_name_H-M_alt 'I 4/m m m'
_space_group_IT_number 139
_space_group_name_Hall '-I 4 2'
loop_
_atom_site_label
_atom_site_type_symbol
_atom_site_fract_x
_atom_site_fract_y
_atom_site_fract_z
_atom_site_occupancy
Hf1 Hf 0.0000 0.3374 0.0000 1
Hf2 Hf 0.1710 0.1710 0.5000 1
Pb1 Pb 0.0000 0.0000 0.0000 1
```

Peak list (8 most intense, 10 to 80 degrees two-theta, most intense first)
- hkl 3 0 1, 34.7°, I 100
- hkl 3 3 0, 39.4°, I 35
- hkl 6 3 1, 68.4°, I 28
- hkl 3 3 2, 58.8°, I 22
- hkl 0 0 2, 41.9°, I 15
- hkl 3 0 3, 71.8°, I 12
- hkl 6 0 0, 57.0°, I 12
- hkl 6 0 2, 73.2°, I 12



This entry pairs a crystal structure of Hf4Pb with its theoretical X-ray powder pattern. Radiation: CuKα. Structure: a structure optimized by DFT (GGA-PBE).
Neutral-atom scattering factors, no anomalous dispersion.

```
data_Hf4Pb
_cell_length_a 4.9261
_cell_length_b 6.1154
_cell_length_c 14.8545
_cell_angle_alpha 90.00
_cell_angle_beta 90.00
_cell_angle_gamma 90.00
_space_group_name_H-M_alt 'I m m a'
_space_group_IT_number 74
_space_group_name_Hall '-I 2b 2'
loop_
_atom_site_label
_atom_site_type_symbol
_atom_site_fract_x
_atom_site_fract_y
_atom_site_fract_z
_atom_site_occupancy
Hf1 Hf 0.0000 0.0000 0.0000 1
Hf2 Hf 0.0000 0.0080 0.1973 1
Hf3 Hf 0.0000 0.2500 0.3955 1
Pb1 Pb 0.0000 0.2500 0.6079 1
```

Peak list (10 most intense, 10 to 80 degrees two-theta, most intense first)
- hkl 1 0 5, 35.3°, I 100
- hkl 1 2 1, 35.1°, I 87
- hkl 2 0 0, 36.5°, I 47
- hkl 0 2 4, 38.1°, I 36
- hkl 2 2 4, 53.8°, I 27
- hkl 1 4 5, 72.1°, I 25
- hkl 0 2 6, 47.2°, I 17
- hkl 3 0 5, 64.9°, I 17
- hkl 2 2 6, 61.1°, I 16
- hkl 3 2 1, 64.7°, I 15



This entry pairs a crystal structure of Rb2HfTe4Pb with its theoretical X-ray powder pattern. Radiation: CuKα. Structure: a structure optimized by DFT (GGA-PBE).
Neutral-atom scattering factors, no anomalous dispersion.

```
data_Rb2HfTe4Pb
_cell_length_a 8.0253
_cell_length_b 4.4445
_cell_length_c 8.7868
_cell_angle_alpha 90.00
_cell_angle_beta 106.02
_cell_angle_gamma 90.00
_space_group_name_H-M_alt 'P 1 2/m 1'
_space_group_IT_number 10
loop_
_space_group_symop_operation_xyz
'x,y,z'
'-x,-y,-z'
'-x,y,-z'
'x,-y,z'
loop_
_atom_site_label
_atom_site_type_symbol
_atom_site_fract_x
_atom_site_fract_y
_atom_site_fract_z
_atom_site_occupancy
Rb1 Rb 0.0000 0.0000 0.0000 1
Rb2 Rb 0.5000 0.5000 0.0000 1
Hf1 Hf 0.0000 0.5000 0.5000 1
Te1 Te 0.2059 0.0000 0.6889 1
Te2 Te 0.2350 0.5000 0.3021 1
Pb1 Pb 0.5000 0.0000 0.5000 1
```

Peak list (10 most intense, 10 to 80 degrees two-theta, most intense first)
- hkl 1 1 1, 26.7°, I 100
- hkl 0 0 1, 10.5°, I 40
- hkl 3 1 -1, 39.3°, I 24
- hkl 1 1 -3, 36.9°, I 21
- hkl 0 2 0, 40.6°, I 12
- hkl 2 2 -2, 49.2°, I 12
- hkl 1 1 2, 33.6°, I 12
- hkl 2 0 2, 35.6°, I 12
- hkl 2 2 2, 55.1°, I 8
- hkl 1 1 -4, 46.1°, I 8



This entry pairs a crystal structure of Hf2RePb with its theoretical X-ray powder pattern. Radiation: CuKα. Structure: a structure optimized by DFT (GGA-PBE).
Neutral-atom scattering factors, no anomalous dispersion.

```
data_Hf2RePb
_cell_length_a 3.2651
_cell_length_b 3.2651
_cell_length_c 8.0584
_cell_angle_alpha 90.00
_cell_angle_beta 90.00
_cell_angle_gamma 90.00
_space_group_name_H-M_alt 'P 4/m m m'
_space_group_IT_number 123
_space_group_name_Hall '-P 4 2'
loop_
_atom_site_label
_atom_site_type_symbol
_atom_site_fract_x
_atom_site_fract_y
_atom_site_fract_z
_atom_site_occupancy
Hf1 Hf 0.0000 0.0000 0.1964 1
Re1 Re 0.5000 0.5000 0.0000 1
Pb1 Pb 0.5000 0.5000 0.5000 1
```

Peak list (10 most intense, 10 to 80 degrees two-theta, most intense first)
- hkl 1 0 2, 35.4°, I 100
- hkl 1 1 0, 39.0°, I 48
- hkl 2 1 2, 68.3°, I 30
- hkl 2 0 0, 56.4°, I 17
- hkl 1 1 4, 61.0°, I 10
- hkl 1 0 3, 43.6°, I 10
- hkl 0 0 1, 11.0°, I 9
- hkl 1 1 3, 52.2°, I 8
- hkl 1 0 4, 53.4°, I 7
- hkl 1 0 1, 29.5°, I 7



Question: Number 7 is which compound?
Answer: Rb2HfTe4Pb